(1)
This entry pairs a crystal structure of KSmPuI6 with its theoretical powder diffraction line list. Radiation: Cu Kα X-rays. Structure: the GGA-PBE geometry in Alexandria.
No peak broadening, texture or thermal motion is included.

Cell: 8.0255 8.0255 15.8371 Å, 90.00 90.00 120.00°
Sites, in units of the cell vectors:
K 0.0000 0.0000 0.0000
K 0.0000 0.0000 0.5000
Sm 0.3333 0.6667 0.2500
Sm 0.6667 0.3333 0.7500
Pu 0.3333 0.6667 0.7500
Pu 0.6667 0.3333 0.2500
I 0.0082 0.3656 0.1343
I 0.0082 0.6426 0.3657
I 0.3574 0.3656 0.3657
I 0.3574 0.9918 0.1343
I 0.3656 0.0082 0.6343
I 0.3656 0.3574 0.8657
I 0.6344 0.6426 0.1343
I 0.6344 0.9918 0.3657
I 0.6426 0.0082 0.8657
I 0.6426 0.6344 0.6343
I 0.9918 0.3574 0.6343
I 0.9918 0.6344 0.8657

Principal peaks in the range 2θ from 15° to 90°, sorted by position:
index	2θ (°)	intensity
1 0 2	17.0	29.8
1 1 2	24.9	100.0
1 1 4	31.7	69.7
2 1 2	36.0	13.6
3 0 0	38.9	38.8
2 -1 6	40.9	31.5
4 -2 2	46.7	15.7
4 -2 4	51.0	16.3
3 0 8	61.6	17.4
4 1 4	66.0	14.2

(2)
This entry pairs a crystal structure of LaNiPb with its theoretical powder diffraction line list. Radiation: Cu Kα X-rays. Structure: the GGA-PBE geometry in Alexandria.
No peak broadening, texture or thermal motion is included.

Cell: 4.7391 4.6400 7.0016 Å, 90.00 92.38 90.00°
Sites, in units of the cell vectors:
La 0.2456 0.2500 0.2168
La 0.7544 0.7500 0.7832
Ni 0.3055 0.7500 0.5026
Ni 0.6945 0.2500 0.4974
Pb 0.2325 0.2500 0.7102
Pb 0.7675 0.7500 0.2898

Principal peaks in the range 2θ from 15° to 90°, sorted by position:
index	2θ (°)	intensity
0 0 2	25.5	40.1
1 1 0	26.9	95.4
0 1 2	32.0	18.2
1 0 2	32.4	15.4
1 1 -2	36.8	78.3
2 0 0	38.0	100.0
0 2 0	38.8	39.2
0 2 2	47.0	19.3
1 2 2	51.4	13.7
2 2 0	55.5	25.1

What is the formula in the second record? LaNiPb